Entry 1:
Starting from DFT lattice parameters and positions (GGA-PBE), the X-ray powder pattern of Dy4AlPd was calculated for CuKα.

Largest 6 diffraction maxima, in order of rising 2θ, 10 to 90 degrees two-theta:
2θ/deg  d [Å]  I (rel.)
28.67  3.114  44
32.31  2.770  49
34.33  2.612  100
37.48  2.399  40
57.63  1.600  45
88.90  1.101  17

```
Dy4AlPd
1.0
0.0000 6.7862 6.7862
6.7862 0.0000 6.7862
6.7862 6.7862 0.0000
Dy Al Pd
16 4 4
direct
0.0574 0.0574 0.4426
0.0574 0.4426 0.0574
0.0574 0.4426 0.4426
0.1825 0.6058 0.6058
0.1845 0.1845 0.8155
0.1845 0.8155 0.1845
0.1845 0.8155 0.8155
0.4426 0.0574 0.0574
0.4426 0.0574 0.4426
0.4426 0.4426 0.0574
0.6058 0.1825 0.6058
0.6058 0.6058 0.1825
0.6058 0.6058 0.6058
0.8155 0.1845 0.1845
0.8155 0.1845 0.8155
0.8155 0.8155 0.1845
0.5174 0.8275 0.8275
0.8275 0.5174 0.8275
0.8275 0.8275 0.5174
0.8275 0.8275 0.8275
0.3949 0.3949 0.3949
0.3949 0.3949 0.8153
0.3949 0.8153 0.3949
0.8153 0.3949 0.3949
```


Entry 2:
Starting from DFT lattice parameters and positions (GGA-PBE), the X-ray powder pattern of Dy2Al6Pd was calculated for CuKα.

Largest 6 diffraction maxima, in order of rising 2θ, 10 to 90 degrees two-theta:
2θ/deg  d [Å]  I (rel.)
15.06  5.881  63
23.25  3.826  62
30.74  2.909  82
34.40  2.607  100
35.34  2.540  91
38.90  2.315  71

```
Dy2Al6Pd
1.0
5.8170 0.0000 0.0000
-2.9085 5.0377 0.0000
0.0000 0.0000 5.8813
Dy Al Pd
2 6 1
direct
0.3333 0.6667 0.3626
0.6667 0.3333 0.6374
0.1737 0.3474 0.8211
0.1737 0.8263 0.8211
0.3474 0.1737 0.1789
0.6526 0.8263 0.8211
0.8263 0.1737 0.1789
0.8263 0.6526 0.1789
0.0000 0.0000 0.5000
```


Entry 3:
Starting from DFT lattice parameters and positions (GGA-PBE), the X-ray powder pattern of Dy3Al2Pd3 was calculated for CuKα.

Largest 6 diffraction maxima, in order of rising 2θ, 10 to 90 degrees two-theta:
2θ/deg  d [Å]  I (rel.)
21.64  4.107  38
32.05  2.793  37
37.11  2.423  100
37.94  2.371  26
39.00  2.310  33
60.48  1.531  24

```
Dy3Al2Pd3
1.0
8.2145 0.0000 0.0000
-4.1073 7.1140 0.0000
0.0000 0.0000 5.5861
Dy Al Pd
6 4 6
direct
0.0000 0.2629 0.2500
0.0000 0.7371 0.7500
0.2629 0.0000 0.2500
0.2629 0.2629 0.7500
0.7371 0.0000 0.7500
0.7371 0.7371 0.2500
0.3333 0.6667 0.0000
0.3333 0.6667 0.5000
0.6667 0.3333 0.0000
0.6667 0.3333 0.5000
0.0000 0.4035 0.7500
0.0000 0.5965 0.2500
0.4035 0.0000 0.7500
0.4035 0.4035 0.2500
0.5965 0.0000 0.2500
0.5965 0.5965 0.7500
```


Entry 4:
Starting from DFT lattice parameters and positions (GGA-PBE), the X-ray powder pattern of Dy6AlPd was calculated for CuKα.

Largest 6 diffraction maxima, in order of rising 2θ, 10 to 90 degrees two-theta:
2θ/deg  d [Å]  I (rel.)
27.38  3.258  18
32.51  2.754  100
36.31  2.474  44
47.80  1.903  14
52.30  1.749  15
62.94  1.477  30

```
Dy6AlPd
1.0
4.9477 0.0000 0.0000
0.0000 4.9477 0.0000
0.0000 0.0000 17.8667
Dy Al Pd
12 2 2
direct
0.0000 0.0000 0.2468
0.0000 0.0000 0.7532
0.0000 0.5000 0.1043
0.0000 0.5000 0.3957
0.0000 0.5000 0.6043
0.0000 0.5000 0.8957
0.5000 0.0000 0.1043
0.5000 0.0000 0.3957
0.5000 0.0000 0.6043
0.5000 0.0000 0.8957
0.5000 0.5000 0.2532
0.5000 0.5000 0.7468
0.0000 0.0000 0.0000
0.5000 0.5000 0.5000
0.0000 0.0000 0.5000
0.5000 0.5000 0.0000
```


Entry 5:
Starting from DFT lattice parameters and positions (GGA-PBE), the X-ray powder pattern of Dy2Al3Pd4 was calculated for CuKα.

Largest 6 diffraction maxima, in order of rising 2θ, 10 to 90 degrees two-theta:
2θ/deg  d [Å]  I (rel.)
26.07  3.418  27
33.41  2.682  38
35.42  2.534  100
36.17  2.483  51
37.24  2.414  56
39.96  2.256  86

```
Dy2Al3Pd4
1.0
2.7960 -7.6576 0.0000
2.7960 7.6576 0.0000
0.0000 0.0000 7.6322
Dy Al Pd
4 6 8
direct
0.1077 0.8923 0.9133
0.3923 0.6077 0.4133
0.6077 0.3923 0.5867
0.8923 0.1077 0.0867
0.0000 0.0000 0.5000
0.0207 0.4793 0.7500
0.4793 0.0207 0.2500
0.5000 0.5000 0.0000
0.5207 0.9793 0.7500
0.9793 0.5207 0.2500
0.1827 0.8173 0.5213
0.1886 0.3114 0.7500
0.3114 0.1886 0.2500
0.3173 0.6827 0.0213
0.6827 0.3173 0.9787
0.6886 0.8114 0.7500
0.8114 0.6886 0.2500
0.8173 0.1827 0.4787
```


Entry 6:
Starting from DFT lattice parameters and positions (GGA-PBE), the X-ray powder pattern of DyAlZnPd2 was calculated for CuKα.

Largest 6 diffraction maxima, in order of rising 2θ, 10 to 90 degrees two-theta:
2θ/deg  d [Å]  I (rel.)
13.42  6.598  40
31.19  2.868  97
33.85  2.648  61
35.92  2.500  51
41.73  2.164  100
50.18  1.818  26

```
DyAlZnPd2
1.0
2.6484 -6.5981 0.0000
2.6484 6.5981 0.0000
0.0000 0.0000 5.4036
Dy Al Zn Pd
2 2 2 4
direct
0.2500 0.7500 0.7738
0.7500 0.2500 0.2262
0.2500 0.2500 0.5000
0.7500 0.7500 0.5000
0.0000 0.0000 0.0000
0.5000 0.5000 0.0000
0.1452 0.8548 0.3012
0.3548 0.6452 0.3012
0.6452 0.3548 0.6988
0.8548 0.1452 0.6988
```


Entry 7:
Starting from DFT lattice parameters and positions (GGA-PBE), the X-ray powder pattern of Pm2DyAl6 was calculated for CuKα.

Largest 6 diffraction maxima, in order of rising 2θ, 10 to 90 degrees two-theta:
2θ/deg  d [Å]  I (rel.)
22.35  3.978  67
33.60  2.667  100
39.22  2.297  43
52.58  1.740  28
66.00  1.415  19
67.52  1.387  26

```
Pm2DyAl6
1.0
7.9568 0.0000 0.0000
-3.9784 6.8908 0.0000
0.0000 0.0000 3.5945
Pm Dy Al
2 1 6
direct
0.3333 0.6667 0.0000
0.6667 0.3333 0.0000
0.0000 0.0000 0.0000
0.0000 0.3316 0.5000
0.0000 0.6684 0.5000
0.3316 0.0000 0.5000
0.3316 0.3316 0.5000
0.6684 0.0000 0.5000
0.6684 0.6684 0.5000
```


Entry 8:
Starting from DFT lattice parameters and positions (GGA-PBE), the X-ray powder pattern of PmDyAl3 was calculated for CuKα.

Largest 6 diffraction maxima, in order of rising 2θ, 10 to 90 degrees two-theta:
2θ/deg  d [Å]  I (rel.)
23.36  3.809  70
32.82  2.729  100
33.31  2.690  62
37.99  2.369  40
39.54  2.279  25
52.64  1.739  34

```
PmDyAl3
1.0
1.8321 -13.8608 0.0000
1.8321 13.8608 0.0000
0.0000 0.0000 4.5585
Pm Dy Al
2 2 6
direct
0.0724 0.9276 0.7500
0.9276 0.0724 0.2500
0.2111 0.7889 0.2500
0.7889 0.2111 0.7500
0.3276 0.6724 0.2500
0.3799 0.6201 0.7500
0.4759 0.5241 0.7500
0.5241 0.4759 0.2500
0.6201 0.3799 0.2500
0.6724 0.3276 0.7500
```


Entry 9:
Starting from DFT lattice parameters and positions (GGA-PBE), the X-ray powder pattern of PmDyAl was calculated for CuKα.

Largest 6 diffraction maxima, in order of rising 2θ, 10 to 90 degrees two-theta:
2θ/deg  d [Å]  I (rel.)
23.42  3.798  54
33.07  2.709  100
33.66  2.663  92
47.91  1.899  35
59.82  1.546  37
65.93  1.417  26

```
PmDyAl
1.0
5.3256 0.0000 0.0000
-2.6628 4.6121 0.0000
0.0000 0.0000 6.6933
Pm Dy Al
2 2 2
direct
0.0000 0.0000 0.0000
0.0000 0.0000 0.5000
0.3333 0.6667 0.2500
0.6667 0.3333 0.7500
0.3333 0.6667 0.7500
0.6667 0.3333 0.2500
```


Entry 10:
Starting from DFT lattice parameters and positions (GGA-PBE), the X-ray powder pattern of Pm5DyAl2 was calculated for CuKα.

Largest 6 diffraction maxima, in order of rising 2θ, 10 to 90 degrees two-theta:
2θ/deg  d [Å]  I (rel.)
26.09  3.415  56
33.01  2.713  60
33.16  2.702  100
47.49  1.915  22
57.35  1.607  30
59.18  1.561  41

```
Pm5DyAl2
1.0
5.4039 0.0000 0.0000
-2.7019 4.6799 0.0000
0.0000 0.0000 19.9810
Pm Dy Al
10 2 4
direct
0.0000 0.0000 0.1556
0.0000 0.0000 0.3444
0.0000 0.0000 0.6556
0.0000 0.0000 0.8444
0.3333 0.6667 0.0555
0.3333 0.6667 0.2500
0.3333 0.6667 0.4445
0.6667 0.3333 0.5555
0.6667 0.3333 0.7500
0.6667 0.3333 0.9445
0.3333 0.6667 0.7500
0.6667 0.3333 0.2500
0.3333 0.6667 0.6009
0.3333 0.6667 0.8991
0.6667 0.3333 0.1009
0.6667 0.3333 0.3991
```


Entry 11:
Starting from DFT lattice parameters and positions (GGA-PBE), the X-ray powder pattern of PmDy3Al4 was calculated for CuKα.

Largest 6 diffraction maxima, in order of rising 2θ, 10 to 90 degrees two-theta:
2θ/deg  d [Å]  I (rel.)
24.45  3.640  31
24.61  3.618  61
34.97  2.566  100
35.08  2.558  50
43.23  2.093  28
62.86  1.478  36

```
PmDy3Al4
1.0
10.2322 0.0000 0.0000
0.0000 7.2803 0.0000
0.0000 0.0000 5.1165
Pm Dy Al
2 6 8
direct
0.0000 0.0000 0.0000
0.5000 0.0000 0.0000
0.0000 0.5000 0.0000
0.2500 0.0000 0.4992
0.2500 0.5000 0.4992
0.5000 0.5000 0.0000
0.7500 0.0000 0.5008
0.7500 0.5000 0.5008
0.0000 0.2558 0.5000
0.0000 0.7442 0.5000
0.2500 0.2559 0.9990
0.2500 0.7441 0.9990
0.5000 0.2558 0.5000
0.5000 0.7442 0.5000
0.7500 0.2559 0.0010
0.7500 0.7441 0.0010
```


Entry 12:
Starting from DFT lattice parameters and positions (GGA-PBE), the X-ray powder pattern of Pm4DyAl2 was calculated for CuKα.

Largest 6 diffraction maxima, in order of rising 2θ, 10 to 90 degrees two-theta:
2θ/deg  d [Å]  I (rel.)
26.85  3.321  59
30.05  2.974  67
30.34  2.946  37
30.49  2.932  64
32.02  2.795  43
34.02  2.635  100

```
Pm4DyAl2
1.0
6.6868 0.0000 0.0000
0.0000 8.8400 0.0000
-2.8417 0.0000 7.1663
Pm Dy Al
8 2 4
direct
0.0971 0.1823 0.1863
0.0971 0.3177 0.6863
0.3946 0.6659 0.8337
0.3946 0.8341 0.3337
0.6054 0.1659 0.6663
0.6054 0.3341 0.1663
0.9029 0.6823 0.3137
0.9029 0.8177 0.8137
0.5000 0.0000 0.0000
0.5000 0.5000 0.5000
0.1914 0.5344 0.1058
0.1914 0.9656 0.6058
0.8086 0.0344 0.3942
0.8086 0.4656 0.8942
```


Entry 13:
Starting from DFT lattice parameters and positions (GGA-PBE), the X-ray powder pattern of Pm3DyAl8 was calculated for CuKα.

Largest 6 diffraction maxima, in order of rising 2θ, 10 to 90 degrees two-theta:
2θ/deg  d [Å]  I (rel.)
18.21  4.870  39
20.61  4.310  32
31.82  2.812  74
34.40  2.607  100
37.42  2.403  66
58.37  1.581  42

```
Pm3DyAl8
1.0
5.6239 0.0000 0.0000
-2.8119 4.8704 0.0000
0.0000 0.0000 9.2590
Pm Dy Al
3 1 8
direct
0.0000 0.0000 0.0000
0.0000 0.0000 0.3637
0.3333 0.6667 0.8629
0.3333 0.6667 0.4992
0.0090 0.5045 0.1827
0.3246 0.1623 0.6787
0.4955 0.5045 0.1827
0.4955 0.9910 0.1827
0.6667 0.3333 0.4320
0.6667 0.3333 0.9297
0.8377 0.1623 0.6787
0.8377 0.6754 0.6787
```